1.
Computed powder X-ray diffraction pattern of TeS3N2 for CuKα, from a structure optimized by DFT (GGA-PBE).
Intensities are scaled so that the largest is 100.

Cell and atoms:
Cell: 12.9216 9.5464 5.8376 Å, 90.00 90.00 90.00°
Sites, in units of the cell vectors:
Te  0.1916  0.2500  0.1656
Te  0.3084  0.7500  0.6656
Te  0.6916  0.2500  0.3344
Te  0.8084  0.7500  0.8344
S  0.0746  0.7500  0.2878
S  0.1810  0.5638  0.6147
S  0.1810  0.9362  0.6147
S  0.3190  0.0638  0.1147
S  0.3190  0.4362  0.1147
S  0.4254  0.2500  0.7878
S  0.5746  0.7500  0.2122
S  0.6810  0.5638  0.8853
S  0.6810  0.9362  0.8853
S  0.8190  0.0638  0.3853
S  0.8190  0.4362  0.3853
S  0.9254  0.2500  0.7122
N  0.1120  0.6042  0.3846
N  0.1120  0.8958  0.3846
N  0.3880  0.1042  0.8846
N  0.3880  0.3958  0.8846
N  0.6120  0.6042  0.1154
N  0.6120  0.8958  0.1154
N  0.8880  0.1042  0.6154
N  0.8880  0.3958  0.6154

Largest 10 diffraction maxima, by intensity, 2θ from 10° to 80°:
Position (°2θ), I (rel.)
22.5, 100
19.1, 95
13.7, 78
27.8, 63
31.4, 59
17.8, 41
29.2, 37
39.8, 37
20.5, 34
18.6, 32

***

2.
Computed powder X-ray diffraction pattern of Sc6As5Cl for CuKα, from a structure optimized by DFT (GGA-PBE).
Intensities are scaled so that the largest is 100.

Cell and atoms:
Cell: 6.7169 6.7169 6.7061 Å, 99.59 99.59 119.93°
Sites, in units of the cell vectors:
Sc  0.0632  0.4133  0.7409
Sc  0.2359  0.2359  0.2567
Sc  0.4133  0.0632  0.7409
Sc  0.5867  0.9368  0.2591
Sc  0.7641  0.7641  0.7433
Sc  0.9368  0.5867  0.2591
As  0.0000  0.0000  0.5000
As  0.1677  0.8323  0.0000
As  0.3391  0.6609  0.5000
As  0.6609  0.3391  0.5000
As  0.8323  0.1677  0.0000
Cl  0.5000  0.5000  0.0000

Largest 10 diffraction maxima, by intensity, 2θ from 10° to 80°:
Position (°2θ), I (rel.)
32.7, 100
46.8, 46
46.9, 23
77.9, 18
58.3, 17
68.4, 10
78.0, 9
28.2, 7
58.2, 6
55.6, 5

***

3.
Computed powder X-ray diffraction pattern of Rb2I3O8 for CuKα, from a structure optimized by DFT (GGA-PBE).
Intensities are scaled so that the largest is 100.

Cell and atoms:
Cell: 7.6689 7.6689 5.6514 Å, 106.69 106.69 54.97°
Sites, in units of the cell vectors:
Rb  0.2224  0.2224  0.1663
Rb  0.7776  0.7776  0.8337
I  0.2360  0.7640  0.5000
I  0.5000  0.5000  0.0000
I  0.7640  0.2360  0.5000
O  0.0912  0.0912  0.4818
O  0.1994  0.6291  0.1177
O  0.3709  0.8006  0.8823
O  0.4084  0.4084  0.6080
O  0.5916  0.5916  0.3920
O  0.6291  0.1994  0.1177
O  0.8006  0.3709  0.8823
O  0.9088  0.9088  0.5182

Largest 10 diffraction maxima, by intensity, 2θ from 10° to 80°:
Position (°2θ), I (rel.)
13.8, 100
25.4, 65
23.6, 62
30.3, 47
31.0, 45
37.5, 45
27.7, 43
45.2, 37
28.8, 36
31.8, 31